ErIrO4: calculated X-ray powder pattern (Cu Kα, 1.54184 Å), based on a crystal structure in Alexandria, relaxed with GGA-PBE.

Principal peaks in the range 10 to 90 degrees two-theta, low angle first:
26.35°, intensity 100
32.43°, intensity 25
32.60°, intensity 48
33.61°, intensity 24
36.85°, intensity 16
38.34°, intensity 13
49.89°, intensity 18
50.36°, intensity 18
50.72°, intensity 17
52.01°, intensity 17
54.23°, intensity 16
63.71°, intensity 10

Lattice parameters (Å, degrees): 5.855 4.878 5.655 90.00 109.42 90.00
Atoms (fractional coordinates):
Er 0.000 0.000 0.000
Er 0.000 0.500 0.500
Ir 0.500 0.000 0.500
Ir 0.500 0.500 0.000
O 0.171 0.155 0.385
O 0.171 0.345 0.885
O 0.377 0.709 0.672
O 0.377 0.791 0.172
O 0.623 0.209 0.828
O 0.623 0.291 0.328
O 0.829 0.655 0.115
O 0.829 0.845 0.615

***

Sm5Th4Sc4: calculated X-ray powder pattern (Cu Kα, 1.54184 Å), based on a crystal structure in Alexandria, relaxed with GGA-PBE.

Principal peaks in the range 10 to 90 degrees two-theta, low angle first:
14.06°, intensity 12
23.86°, intensity 10
27.80°, intensity 7
31.29°, intensity 100
36.10°, intensity 17
36.37°, intensity 34
52.18°, intensity 24
52.39°, intensity 12
61.92°, intensity 14
62.30°, intensity 28
65.27°, intensity 12
85.36°, intensity 12

Lattice parameters (Å, degrees): 9.246 9.246 9.246 94.15 94.15 148.78
Atoms (fractional coordinates):
Sm 0.000 0.000 0.000
Sm 0.305 0.541 0.846
Sm 0.459 0.305 0.764
Sm 0.541 0.695 0.236
Sm 0.695 0.459 0.154
Th 0.075 0.382 0.457
Th 0.382 0.925 0.307
Th 0.618 0.075 0.693
Th 0.925 0.618 0.543
Sc 0.156 0.765 0.921
Sc 0.235 0.156 0.391
Sc 0.765 0.844 0.609
Sc 0.844 0.235 0.079

***

ZrTlI2: calculated X-ray powder pattern (Cu Kα, 1.54184 Å), based on a crystal structure in Alexandria, relaxed with GGA-PBE.

Principal peaks in the range 10 to 90 degrees two-theta, low angle first:
17.26°, intensity 44
24.13°, intensity 100
24.51°, intensity 34
27.45°, intensity 30
31.43°, intensity 64
34.93°, intensity 20
39.22°, intensity 59
40.25°, intensity 51
47.69°, intensity 24
54.34°, intensity 22
60.47°, intensity 19
71.78°, intensity 19

Lattice parameters (Å, degrees): 7.896 7.896 7.896 98.83 98.83 133.86
Atoms (fractional coordinates):
Zr 0.000 0.000 0.000
Zr 0.750 0.250 0.500
Tl 0.250 0.750 0.500
Tl 0.500 0.500 0.000
I 0.375 0.236 0.361
I 0.764 0.125 0.139
I 0.875 0.014 0.639
I 0.986 0.625 0.861

***

Pm3Pr2Er3: calculated X-ray powder pattern (Cu Kα, 1.54184 Å), based on a crystal structure in Alexandria, relaxed with GGA-PBE.

Principal peaks in the range 10 to 90 degrees two-theta, low angle first:
30.31°, intensity 100
35.03°, intensity 17
35.19°, intensity 34
50.50°, intensity 24
50.62°, intensity 12
59.94°, intensity 14
60.15°, intensity 28
63.05°, intensity 12
82.22°, intensity 12
82.41°, intensity 6
84.70°, intensity 6
85.03°, intensity 5

Lattice parameters (Å, degrees): 10.813 10.813 10.813 152.69 152.59 39.08
Atoms (fractional coordinates):
Pm 0.000 0.000 0.000
Pm 0.378 0.878 0.500
Pm 0.622 0.122 0.500
Pr 0.250 0.250 0.000
Pr 0.750 0.750 0.000
Er 0.123 0.623 0.500
Er 0.500 0.500 0.000
Er 0.877 0.377 0.500

***

MnFe2Br6: calculated X-ray powder pattern (Cu Kα, 1.54184 Å), based on a crystal structure in Alexandria, relaxed with GGA-PBE.

Principal peaks in the range 10 to 90 degrees two-theta, low angle first:
15.37°, intensity 15
21.99°, intensity 24
27.08°, intensity 49
27.55°, intensity 100
27.67°, intensity 39
31.72°, intensity 59
32.01°, intensity 34
45.25°, intensity 27
45.30°, intensity 52
45.70°, intensity 24
46.07°, intensity 46
54.14°, intensity 16

Lattice parameters (Å, degrees): 8.871 8.871 6.955 98.36 98.36 84.35
Atoms (fractional coordinates):
Mn 0.110 0.890 0.750
Mn 0.890 0.110 0.250
Fe 0.221 0.389 0.680
Fe 0.389 0.221 0.180
Fe 0.611 0.779 0.820
Fe 0.779 0.611 0.320
Br 0.035 0.189 0.616
Br 0.121 0.623 0.866
Br 0.189 0.035 0.116
Br 0.292 0.450 0.378
Br 0.377 0.879 0.634
Br 0.450 0.292 0.878
Br 0.550 0.708 0.122
Br 0.623 0.121 0.366
Br 0.708 0.550 0.622
Br 0.811 0.965 0.884
Br 0.879 0.377 0.134
Br 0.965 0.811 0.384